Entry 1:
Structure and computed X-ray diffraction stick pattern of ErTh2Sb3 (a cell relaxed with PBE; Cu Kα, 1.54184 Å).
Neutral-atom scattering factors, no anomalous dispersion.

Structure:
Unit cell a=8.906 b=12.611 c=26.737 alpha=90.00 beta=90.00 gamma=90.00
Space group Fddd (No. 70, origin choice 2)
One atom of each set of equivalent atoms:
1 Er 0.125 0.125 0.041 (multiplicity 16)
2 Th 0.125 0.125 0.376 (multiplicity 16)
3 Th 0.125 0.125 0.543 (multiplicity 16)
4 Sb 0.115 0.375 0.375 (multiplicity 16)
5 Sb 0.120 0.371 0.210 (multiplicity 32)

Principal peaks in the range 15° ≤ 2θ ≤ 90°, in order of rising 2θ:
Position (°2θ)	I/Imax	hkl
24.47	12	2 2 0
28.32	100	0 4 0
40.49	77	2 4 6
47.87	7	4 2 6
50.15	28	0 4 12
58.59	13	0 8 0
64.45	3	6 2 0
66.34	36	2 8 6
73.64	26	0 8 12
78.94	2	6 6 0
87.58	9	4 8 12

---

Entry 2:
Structure and computed X-ray diffraction stick pattern of V2Ni5Pt (a cell relaxed with PBE; Cu Kα, 1.54184 Å).
Neutral-atom scattering factors, no anomalous dispersion.

Structure:
Unit cell a=13.821 b=4.403 c=6.636 alpha=90.00 beta=107.08 gamma=90.00
Space group C2/c (No. 15)
One atom of each set of equivalent atoms:
1 V 0.121 0.180 0.123 (multiplicity 8)
2 Ni 0.000 0.160 0.750 (multiplicity 4)
3 Ni 0.059 0.335 0.437 (multiplicity 8)
4 Ni 0.178 0.276 0.816 (multiplicity 8)
5 Pt 0.250 0.250 0.500 (multiplicity 4)

Principal peaks in the range 15° ≤ 2θ ≤ 90°, in order of rising 2θ:
Position (°2θ)	I/Imax	hkl
24.40	22	1 1 -1
26.62	32	1 1 1
27.39	18	2 0 -2
34.63	21	3 1 1
41.00	49	0 2 0
42.55	70	6 0 -2
44.39	17	2 2 -1
45.79	100	5 1 1
46.29	99	1 1 -3
60.57	27	6 2 -2
79.82	16	11 1 -1
80.91	17	7 1 -5

---

Entry 3:
Structure and computed X-ray diffraction stick pattern of NdY7Tm4 (a cell relaxed with PBE; Cu Kα, 1.54184 Å).
Neutral-atom scattering factors, no anomalous dispersion.

Structure:
Unit cell a=15.973 b=5.855 c=9.399 alpha=90.00 beta=117.43 gamma=90.00
Space group C2/m (No. 12)
One atom of each set of equivalent atoms:
1 Nd 0.000 0.000 0.000 (multiplicity 2)
2 Y 0.000 0.500 0.000 (multiplicity 2)
3 Y 0.084 0.000 0.449 (multiplicity 4)
4 Y 0.213 0.000 0.240 (multiplicity 4)
5 Y 0.216 0.000 0.882 (multiplicity 4)
6 Tm 0.071 0.500 0.698 (multiplicity 4)
7 Tm 0.170 0.500 0.382 (multiplicity 4)

Principal peaks in the range 15° ≤ 2θ ≤ 90°, in order of rising 2θ:
Position (°2θ)	I/Imax	hkl
24.34	33	4 0 -2
24.55	21	1 1 -2
28.58	31	2 0 -3
29.86	35	3 1 1
30.54	100	0 2 0
31.65	49	4 0 1
32.15	74	5 1 -1
32.67	96	5 1 -2
33.54	70	1 1 -3
42.31	21	2 2 -3
44.56	38	4 2 1
55.64	21	5 3 -2

---

Entry 4:
Structure and computed X-ray diffraction stick pattern of Rb2MnBr2Cl2 (a cell relaxed with PBE; Cu Kα, 1.54184 Å).
Neutral-atom scattering factors, no anomalous dispersion.

Structure:
Unit cell a=4.272 b=7.423 c=14.202 alpha=90.00 beta=90.00 gamma=90.00
Space group Immm (No. 71)
One atom of each set of equivalent atoms:
1 Rb 0.000 0.000 0.158 (multiplicity 4)
2 Mn 0.000 0.500 0.000 (multiplicity 2)
3 Br 0.000 0.250 0.500 (multiplicity 4)
4 Cl 0.000 0.500 0.171 (multiplicity 4)

Principal peaks in the range 15° ≤ 2θ ≤ 90°, in order of rising 2θ:
Position (°2θ)	I/Imax	hkl
22.27	25	0 1 3
27.12	41	0 2 2
28.14	75	1 0 3
32.58	100	1 2 1
34.99	36	0 2 4
38.02	27	0 0 6
42.31	21	2 0 0
45.47	32	1 2 5
49.09	13	0 4 0
55.96	24	1 2 7
57.55	21	1 4 3
58.17	15	2 0 6

---

Entry 5:
Structure and computed X-ray diffraction stick pattern of La4Pm8Sm (a cell relaxed with PBE; Cu Kα, 1.54184 Å).
Neutral-atom scattering factors, no anomalous dispersion.

Structure:
Unit cell a=6.613 b=6.643 c=12.021 alpha=100.50 beta=100.39 gamma=109.67
Space group P-1 (No. 2)
One atom of each set of equivalent atoms:
1 La 0.000 0.000 0.000 (multiplicity 1)
2 La 0.000 0.500 0.500 (multiplicity 1)
3 La 0.500 0.000 0.500 (multiplicity 1)
4 La 0.500 0.500 0.000 (multiplicity 1)
5 Pm 0.075 0.099 0.676 (multiplicity 2)
6 Pm 0.175 0.677 0.793 (multiplicity 2)
7 Pm 0.386 0.887 0.205 (multiplicity 2)
8 Pm 0.402 0.426 0.324 (multiplicity 2)
9 Sm 0.000 0.500 0.000 (multiplicity 1)

Principal peaks in the range 15° ≤ 2θ ≤ 90°, in order of rising 2θ:
Position (°2θ)	I/Imax	hkl
28.54	19	0 2 -1
28.68	100	1 -1 3
29.61	25	0 2 0
29.75	30	2 0 0
32.65	27	0 2 1
32.77	27	2 0 1
33.06	48	2 -2 0
33.25	35	1 1 -4
47.51	12	1 -3 4
47.67	27	2 2 -2
56.41	19	-3 3 3
59.37	16	4 0 -2

---

Entry 6:
Structure and computed X-ray diffraction stick pattern of Tl3Ni5 (a cell relaxed with PBE; Cu Kα, 1.54184 Å).
Neutral-atom scattering factors, no anomalous dispersion.

Structure:
Unit cell a=7.194 b=8.358 c=4.080 alpha=90.00 beta=90.00 gamma=90.00
Space group Cmmm (No. 65)
One atom of each set of equivalent atoms:
1 Tl 0.000 0.000 0.000 (multiplicity 2)
2 Tl 0.000 0.285 0.500 (multiplicity 4)
3 Ni 0.000 0.500 0.000 (multiplicity 2)
4 Ni 0.232 0.000 0.500 (multiplicity 4)
5 Ni 0.250 0.250 0.000 (multiplicity 4)

Principal peaks in the range 15° ≤ 2θ ≤ 90°, in order of rising 2θ:
Position (°2θ)	I/Imax	hkl
24.75	18	2 0 0
27.30	14	1 1 1
30.62	17	0 2 1
34.52	14	1 3 0
39.77	100	2 2 1
43.30	15	0 4 0
44.40	20	0 0 2
50.77	13	4 0 0
63.76	9	0 4 2
69.70	10	4 0 2
78.61	13	2 2 3
88.07	10	6 2 1

---

Entry 7:
Structure and computed X-ray diffraction stick pattern of Cd6Hg10Sb (a cell relaxed with PBE; Cu Kα, 1.54184 Å).
Neutral-atom scattering factors, no anomalous dispersion.

Structure:
Unit cell a=9.4739 b=9.4739 c=5.6186 alpha=90.00 beta=90.00 gamma=120.00
Space group P-31m (No. 162)
One atom of each set of equivalent atoms:
1 Cd 0.0000 0.3969 0.2837 (multiplicity 6)
2 Hg 0.0000 0.2632 0.8056 (multiplicity 6)
3 Hg 0.3333 0.6667 0.0000 (multiplicity 2)
4 Hg 0.3333 0.6667 0.5000 (multiplicity 2)
5 Sb 0.0000 0.0000 0.5000 (multiplicity 1)

Principal peaks in the range 15° ≤ 2θ ≤ 90°, in order of rising 2θ:
Position (°2θ)	I/Imax	hkl
24.58	14	2 -1 1
28.79	27	2 1 0
32.75	86	3 0 0
32.99	91	3 -1 1
37.21	100	1 1 2
42.88	15	4 -1 1
50.39	25	4 -2 2
51.01	13	4 1 0
51.18	20	3 2 1
55.47	11	4 0 2
61.41	13	4 1 2
65.48	13	6 -1 1

---

Entry 8:
Structure and computed X-ray diffraction stick pattern of Ca3Tl3Hg4 (a cell relaxed with PBE; Cu Kα, 1.54184 Å).
Neutral-atom scattering factors, no anomalous dispersion.

Structure:
Unit cell a=4.040 b=12.177 c=11.576 alpha=90.00 beta=90.00 gamma=90.00
Space group Amm2 (No. 38)
One atom of each set of equivalent atoms:
1 Ca 0.000 0.000 0.000 (multiplicity 2)
2 Ca 0.000 0.169 0.660 (multiplicity 4)
3 Tl 0.000 0.000 0.332 (multiplicity 2)
4 Tl 0.500 0.245 0.913 (multiplicity 4)
5 Hg 0.500 0.000 0.529 (multiplicity 2)
6 Hg 0.500 0.000 0.793 (multiplicity 2)
7 Hg 0.500 0.132 0.170 (multiplicity 4)

Principal peaks in the range 15° ≤ 2θ ≤ 90°, in order of rising 2θ:
Position (°2θ)	I/Imax	hkl
22.00	67	1 0 0
23.22	27	0 3 1
30.72	42	1 2 2
32.20	90	1 3 1
32.93	100	1 1 3
33.25	63	0 4 2
34.31	58	0 2 4
40.23	36	1 4 2
41.13	35	1 2 4
44.87	33	2 0 0
56.98	28	2 4 2
57.67	27	2 2 4

---

Entry 9:
Structure and computed X-ray diffraction stick pattern of Sm2P3Pt4 (a cell relaxed with PBE; Cu Kα, 1.54184 Å).
Neutral-atom scattering factors, no anomalous dispersion.

Structure:
Unit cell a=4.168 b=4.168 c=19.010 alpha=90.00 beta=90.00 gamma=90.00
Space group I-4m2 (No. 119)
One atom of each set of equivalent atoms:
1 Sm 0.000 0.000 0.127 (multiplicity 4)
2 P 0.000 0.000 0.426 (multiplicity 4)
3 P 0.000 0.500 0.750 (multiplicity 2)
4 Pt 0.000 0.000 0.303 (multiplicity 4)
5 Pt 0.000 0.500 0.501 (multiplicity 4)

Principal peaks in the range 15° ≤ 2θ ≤ 90°, in order of rising 2θ:
Position (°2θ)	I/Imax	hkl
28.16	12	0 0 6
31.82	100	1 1 2
35.85	45	1 1 4
39.61	26	1 0 7
43.42	42	2 0 0
49.26	12	1 1 8
54.85	19	2 1 5
60.21	15	2 1 7
63.08	14	2 2 0
67.07	15	1 1 12
72.39	15	3 1 2
74.74	11	3 1 4

---

Entry 10:
Structure and computed X-ray diffraction stick pattern of HfMn10Fe2 (a cell relaxed with PBE; Cu Kα, 1.54184 Å).
Neutral-atom scattering factors, no anomalous dispersion.

Structure:
Unit cell a=8.165 b=9.391 c=7.943 alpha=90.00 beta=90.00 gamma=90.00
Space group Cmcm (No. 63)
One atom of each set of equivalent atoms:
1 Hf 0.000 0.126 0.250 (multiplicity 4)
2 Mn 0.000 0.163 0.605 (multiplicity 8)
3 Mn 0.000 0.395 0.068 (multiplicity 8)
4 Mn 0.136 0.386 0.750 (multiplicity 8)
5 Mn 0.216 0.000 0.000 (multiplicity 8)
6 Mn 0.239 0.373 0.250 (multiplicity 8)
7 Fe 0.250 0.250 0.000 (multiplicity 8)

Principal peaks in the range 15° ≤ 2θ ≤ 90°, in order of rising 2θ:
Position (°2θ)	I/Imax	hkl
31.14	35	2 2 1
38.34	20	0 4 0
39.06	48	0 2 3
41.35	61	3 1 2
44.09	26	3 3 0
44.38	42	4 0 0
44.52	45	2 4 0
44.85	69	0 4 2
45.15	100	2 2 3
45.66	51	0 0 4
64.91	21	4 4 2
82.27	19	6 2 3

---

Entry 11:
Structure and computed X-ray diffraction stick pattern of Zr5OsPd2 (a cell relaxed with PBE; Cu Kα, 1.54184 Å).
Neutral-atom scattering factors, no anomalous dispersion.

Structure:
Unit cell a=5.909 b=11.283 c=4.717 alpha=90.00 beta=90.00 gamma=90.00
Space group Pbam (No. 55)
One atom of each set of equivalent atoms:
1 Zr 0.000 0.000 0.000 (multiplicity 2)
2 Zr 0.147 0.272 0.000 (multiplicity 4)
3 Zr 0.147 0.616 0.500 (multiplicity 4)
4 Os 0.000 0.500 0.000 (multiplicity 2)
5 Pd 0.125 0.875 0.500 (multiplicity 4)

Principal peaks in the range 15° ≤ 2θ ≤ 90°, in order of rising 2θ:
Position (°2θ)	I/Imax	hkl
25.42	13	1 1 1
34.26	19	2 2 0
35.87	13	2 0 1
36.77	60	2 1 1
37.14	100	0 4 1
38.16	50	0 0 2
38.76	27	2 3 0
39.37	27	2 2 1
55.52	19	2 3 2
65.34	12	4 2 0
66.29	13	0 8 0
68.29	17	0 4 3

---

Entry 12:
Structure and computed X-ray diffraction stick pattern of CeYAu4 (a cell relaxed with PBE; Cu Kα, 1.54184 Å).
Neutral-atom scattering factors, no anomalous dispersion.

Structure:
Unit cell a=3.765 b=5.326 c=7.628 alpha=70.30 beta=75.76 gamma=69.38
Space group P-1 (No. 2)
One atom of each set of equivalent atoms:
1 Ce 0.000 0.000 0.000 (multiplicity 1)
2 Y 0.000 0.500 0.500 (multiplicity 1)
3 Au 0.334 0.995 0.338 (multiplicity 2)
4 Au 0.336 0.503 0.826 (multiplicity 2)

Principal peaks in the range 15° ≤ 2θ ≤ 90°, in order of rising 2θ:
Position (°2θ)	I/Imax	hkl
33.30	100	1 0 2
37.42	36	0 1 3
37.55	36	0 2 0
37.81	71	1 2 2
47.27	19	0 1 -3
48.35	18	2 1 1
60.29	9	0 3 3
62.14	17	1 3 -1
62.70	25	2 -1 1
69.93	12	2 0 4
70.56	12	1 3 5
70.73	12	1 4 2

---

> Number 7 is which compound?

Cd6Hg10Sb